# 1
This entry pairs a crystal structure of AlVO3 with its calculated powder X-ray diffraction pattern. Radiation: Cu Kα, 1.54184 Å. Structure: a crystal structure in the Materials Project, relaxed with GGA+U.

Cell and atoms:
```
data_AlVO3
_chemical_formula_sum 'Al4 V4 O12'
_symmetry_space_group_name_H-M 'P n m a'
_symmetry_Int_Tables_number 62
_cell_length_a 5.234
_cell_length_b 6.979
_cell_length_c 5.058
_cell_angle_alpha 90.00
_cell_angle_beta 90.00
_cell_angle_gamma 90.00
loop_
_symmetry_equiv_pos_as_xyz
'x,y,z'
'-x,-y,-z'
'-x+1/2,-y,z+1/2'
'x+1/2,y,-z+1/2'
'x+1/2,-y+1/2,-z+1/2'
'-x+1/2,y+1/2,z+1/2'
'-x,y+1/2,-z'
'x,-y+1/2,z'
loop_
_atom_site_label
_atom_site_type_symbol
_atom_site_fract_x
_atom_site_fract_y
_atom_site_fract_z
Al1 Al 0.000 0.000 0.000
V1 V 0.058 0.250 0.492
O1 O 0.063 0.750 0.888
O2 O 0.174 0.554 0.332
```

Principal peaks in the range 10 to 90 degrees two-theta, in order of falling intensity:
(1 2 1), 35.66°, intensity 100.0
(1 2 3), 63.85°, intensity 40.9
(2 0 2), 50.17°, intensity 31.3
(0 0 2), 35.50°, intensity 31.1
(2 0 0), 34.27°, intensity 28.3
(0 4 0), 52.44°, intensity 23.3
(3 1 1), 57.41°, intensity 21.9
(1 1 1), 27.66°, intensity 20.7
(3 2 1), 62.27°, intensity 18.1
(1 3 1), 46.33°, intensity 16.3


# 2
This entry pairs a crystal structure of AlV3O6 with its calculated powder X-ray diffraction pattern. Radiation: Cu Kα, 1.54184 Å. Structure: a crystal structure in the Materials Project, relaxed with GGA+U.

Cell and atoms:
```
data_AlV3O6
_chemical_formula_sum 'Al4 V12 O24'
_symmetry_space_group_name_H-M 'P -3 m 1'
_symmetry_Int_Tables_number 164
_symmetry_space_group_name_Hall '-P 3 2"'
_cell_length_a 5.9495
_cell_length_b 5.9495
_cell_length_c 14.6855
_cell_angle_alpha 90.00
_cell_angle_beta 90.00
_cell_angle_gamma 120.00
loop_
_atom_site_label
_atom_site_type_symbol
_atom_site_fract_x
_atom_site_fract_y
_atom_site_fract_z
Al1 Al 0.0000 0.0000 0.1287
Al2 Al 0.3333 0.6667 0.5442
V1 V 0.0000 0.0000 0.5000
V2 V 0.0000 0.5000 0.0000
V3 V 0.1707 0.3413 0.3313
V4 V 0.3333 0.6667 0.1720
O1 O 0.0000 0.0000 0.2522
O2 O 0.0369 0.5185 0.2586
O3 O 0.1631 0.3263 0.5826
O4 O 0.1684 0.3368 0.0863
O5 O 0.3333 0.6667 0.4219
O6 O 0.3333 0.6667 0.9367
```

Principal peaks in the range 10 to 90 degrees two-theta, in order of falling intensity:
(0 2 4), 42.88°, intensity 100.0
(0 2 1), 35.33°, intensity 99.2
(1 0 1), 18.25°, intensity 93.6
(2 2 0), 62.44°, intensity 42.1
(2 0 8), 62.08°, intensity 41.9
(0 3 3), 56.76°, intensity 34.6
(0 1 5), 35.17°, intensity 32.6
(0 0 3), 18.12°, intensity 27.8
(4 0 4), 78.73°, intensity 11.1
(4 1 3), 89.40°, intensity 10.8


# 3
This entry pairs a crystal structure of AlVO3 with its calculated powder X-ray diffraction pattern. Radiation: Cu Kα, 1.54184 Å. Structure: a crystal structure in the Materials Project, relaxed with GGA+U.

Cell and atoms:
```
data_AlVO3
_chemical_formula_sum 'Al6 V6 O18'
_symmetry_space_group_name_H-M 'R -3'
_symmetry_Int_Tables_number 148
_symmetry_space_group_name_Hall '-R 3'
_cell_length_a 4.9612
_cell_length_b 4.9612
_cell_length_c 13.6704
_cell_angle_alpha 90.00
_cell_angle_beta 90.00
_cell_angle_gamma 120.00
loop_
_atom_site_label
_atom_site_type_symbol
_atom_site_fract_x
_atom_site_fract_y
_atom_site_fract_z
Al1 Al 0.0000 0.0000 0.1497
V1 V 0.0000 0.0000 0.3524
O1 O 0.0150 0.3124 0.7545
```

Principal peaks in the range 10 to 90 degrees two-theta, in order of falling intensity:
(1 0 4), 33.50°, intensity 100.0
(1 1 6), 54.70°, intensity 82.5
(1 1 0), 36.21°, intensity 65.0
(2 -1 3), 41.45°, intensity 64.8
(0 1 2), 24.47°, intensity 53.1
(3 0 0), 65.13°, intensity 46.4
(0 2 4), 50.16°, intensity 43.6
(2 1 4), 63.42°, intensity 36.2
(1 0 10), 72.57°, intensity 16.6
(1 0 1), 21.68°, intensity 12.4


# 4
This entry pairs a crystal structure of Al2V2O7 with its calculated powder X-ray diffraction pattern. Radiation: Cu Kα, 1.54184 Å. Structure: a crystal structure in the Materials Project, relaxed with GGA+U.

Cell and atoms:
a = 9.531 Å, b = 9.531 Å, c = 9.531 Å
α = 90.00°, β = 90.00°, γ = 90.00°
Space group Fd-3m (No. 227, origin choice 2)
Inequivalent atoms, fractional coordinates:
Al 0.000 0.000 0.000 (multiplicity 16)
V 0.000 0.000 0.500 (multiplicity 16)
O 0.098 0.375 0.875 (multiplicity 48)
O 0.125 0.125 0.125 (multiplicity 8)

Principal peaks in the range 10 to 90 degrees two-theta, in order of falling intensity:
(2 2 2), 32.54°, intensity 100.0
(4 4 0), 54.46°, intensity 77.6
(6 2 2), 64.90°, intensity 35.6
(3 1 1), 31.12°, intensity 21.6
(6 6 2), 89.68°, intensity 14.1
(1 1 1), 16.11°, intensity 13.2
(8 0 0), 80.64°, intensity 9.4
(3 3 3), 49.71°, intensity 5.1
(7 3 1), 76.82°, intensity 4.7
(4 0 0), 37.75°, intensity 4.5


# 5
This entry pairs a crystal structure of AlVO3 with its calculated powder X-ray diffraction pattern. Radiation: Cu Kα, 1.54184 Å. Structure: a crystal structure in the Materials Project, relaxed with GGA+U.

Cell and atoms:
```
data_AlVO3
_chemical_formula_sum 'Al4 V4 O12'
_symmetry_space_group_name_H-M 'P n m a'
_symmetry_Int_Tables_number 62
_cell_length_a 5.053
_cell_length_b 7.863
_cell_length_c 5.036
_cell_angle_alpha 90.00
_cell_angle_beta 90.00
_cell_angle_gamma 90.00
loop_
_symmetry_equiv_pos_as_xyz
'x,y,z'
'-x,-y,-z'
'-x+1/2,-y,z+1/2'
'x+1/2,y,-z+1/2'
'x+1/2,-y+1/2,-z+1/2'
'-x+1/2,y+1/2,z+1/2'
'-x,y+1/2,-z'
'x,-y+1/2,z'
loop_
_atom_site_label
_atom_site_type_symbol
_atom_site_fract_x
_atom_site_fract_y
_atom_site_fract_z
Al1 Al 0.005 0.250 0.023
V1 V 0.000 0.000 0.500
O1 O 0.143 0.750 0.639
O2 O 0.164 0.580 0.150
```

Principal peaks in the range 10 to 90 degrees two-theta, in order of falling intensity:
(1 2 1), 33.93°, intensity 100.0
(3 2 1), 62.79°, intensity 30.7
(1 2 3), 62.95°, intensity 27.8
(2 4 0), 59.63°, intensity 25.8
(2 0 2), 51.22°, intensity 22.3
(0 0 2), 35.66°, intensity 20.3
(2 0 0), 35.53°, intensity 17.5
(0 3 1), 38.73°, intensity 14.9
(0 4 0), 46.18°, intensity 14.8
(2 4 2), 71.42°, intensity 13.2


# 6
This entry pairs a crystal structure of AlVO4 with its calculated powder X-ray diffraction pattern. Radiation: Cu Kα, 1.54184 Å. Structure: a crystal structure in the Materials Project, relaxed with GGA+U.

Cell and atoms:
```
data_AlVO4
_chemical_formula_sum 'Al6 V6 O24'
_symmetry_space_group_name_H-M 'P -1'
_symmetry_Int_Tables_number 2
_cell_length_a 6.628
_cell_length_b 7.852
_cell_length_c 9.281
_cell_angle_alpha 96.14
_cell_angle_beta 107.34
_cell_angle_gamma 101.51
loop_
_symmetry_equiv_pos_as_xyz
'x,y,z'
'-x,-y,-z'
loop_
_atom_site_label
_atom_site_type_symbol
_atom_site_fract_x
_atom_site_fract_y
_atom_site_fract_z
Al1 Al 0.037 0.193 0.493
Al2 Al 0.251 0.801 0.092
Al3 Al 0.461 0.382 0.709
V1 V 0.003 0.496 0.755
V2 V 0.195 0.101 0.843
V3 V 0.484 0.201 0.375
O1 O 0.040 0.202 0.923
O2 O 0.049 0.022 0.641
O3 O 0.049 0.350 0.354
O4 O 0.156 0.367 0.675
O5 O 0.160 0.600 0.932
O6 O 0.250 0.635 0.236
O7 O 0.251 0.796 0.532
O8 O 0.256 0.936 0.936
O9 O 0.354 0.228 0.524
O10 O 0.358 0.009 0.245
O11 O 0.457 0.242 0.860
O12 O 0.478 0.384 0.286
```

Principal peaks in the range 10 to 90 degrees two-theta, in order of falling intensity:
(0 1 2), 25.33°, intensity 100.0
(0 2 -2), 28.34°, intensity 89.3
(2 0 -1), 27.48°, intensity 50.6
(-2 1 1), 27.75°, intensity 34.1
(1 -2 0), 24.43°, intensity 32.4
(-4 1 2), 55.58°, intensity 30.7
(1 1 -2), 23.90°, intensity 26.6
(-1 2 2), 31.64°, intensity 23.2
(1 2 -1), 29.28°, intensity 21.9
(0 1 1), 16.82°, intensity 20.3


# 7
This entry pairs a crystal structure of AlVO3 with its calculated powder X-ray diffraction pattern. Radiation: Cu Kα, 1.54184 Å. Structure: a crystal structure in the Materials Project, relaxed with GGA+U.

Cell and atoms:
```
data_AlVO3
_chemical_formula_sum 'Al1 V1 O3'
_symmetry_space_group_name_H-M 'P m -3 m'
_symmetry_Int_Tables_number 221
_symmetry_space_group_name_Hall '-P 4 2 3'
_cell_length_a 3.640
_cell_length_b 3.640
_cell_length_c 3.640
_cell_angle_alpha 90.00
_cell_angle_beta 90.00
_cell_angle_gamma 90.00
loop_
_atom_site_label
_atom_site_type_symbol
_atom_site_fract_x
_atom_site_fract_y
_atom_site_fract_z
Al1 Al 0.000 0.000 0.000
V1 V 0.500 0.500 0.500
O1 O 0.000 0.000 0.500
```

Principal peaks in the range 10 to 90 degrees two-theta, in order of falling intensity:
(1 1 0), 34.85°, intensity 100.0
(2 0 0), 50.11°, intensity 67.6
(1 1 1), 43.03°, intensity 48.0
(2 1 1), 62.49°, intensity 35.9
(2 2 0), 73.59°, intensity 35.4
(3 1 0), 84.08°, intensity 15.4
(3 1 1), 89.23°, intensity 9.8
(1 0 0), 24.45°, intensity 1.1
(2 1 0), 56.53°, intensity 0.6


# 8
This entry pairs a crystal structure of AlVO3 with its calculated powder X-ray diffraction pattern. Radiation: Cu Kα, 1.54184 Å. Structure: a crystal structure in the Materials Project, relaxed with GGA+U.

Cell and atoms:
```
data_AlVO3
_chemical_formula_sum 'Al16 V16 O48'
_symmetry_space_group_name_H-M 'C 1 m 1'
_symmetry_Int_Tables_number 8
_cell_length_a 25.765
_cell_length_b 5.880
_cell_length_c 5.837
_cell_angle_alpha 90.00
_cell_angle_beta 103.03
_cell_angle_gamma 90.00
loop_
_symmetry_equiv_pos_as_xyz
'x,y,z'
'x,-y,z'
'x+1/2,y+1/2,z'
'x+1/2,-y+1/2,z'
loop_
_atom_site_label
_atom_site_type_symbol
_atom_site_fract_x
_atom_site_fract_y
_atom_site_fract_z
Al1 Al 0.000 0.000 0.000
Al2 Al 0.000 0.000 0.481
Al3 Al 0.122 0.000 0.357
Al4 Al 0.168 0.500 0.160
Al5 Al 0.214 0.000 0.955
Al6 Al 0.338 0.000 0.834
Al7 Al 0.375 0.500 0.625
Al8 Al 0.464 0.000 0.707
V1 V 0.086 0.256 0.826
V2 V 0.168 0.500 0.658
V3 V 0.251 0.256 0.493
V4 V 0.338 0.000 0.325
V5 V 0.420 0.250 0.160
O1 O 0.002 0.230 0.744
O2 O 0.079 0.000 0.062
O3 O 0.080 0.000 0.572
O4 O 0.090 0.500 0.605
O5 O 0.096 0.500 0.056
O6 O 0.165 0.254 0.398
O7 O 0.171 0.252 0.918
O8 O 0.240 0.500 0.261
O9 O 0.245 0.500 0.711
O10 O 0.255 0.000 0.252
O11 O 0.257 0.000 0.744
O12 O 0.335 0.239 0.591
O13 O 0.343 0.214 0.070
O14 O 0.418 0.000 0.900
O15 O 0.420 0.500 0.423
O16 O 0.421 0.000 0.414
O17 O 0.421 0.500 0.909
O18 O 0.496 0.294 0.237
```

Principal peaks in the range 10 to 90 degrees two-theta, in order of falling intensity:
(2 0 1), 18.49°, intensity 100.0
(2 2 -2), 43.70°, intensity 81.5
(4 2 -1), 35.85°, intensity 71.4
(10 2 2), 63.17°, intensity 70.1
(10 0 -1), 35.66°, intensity 52.5
(12 0 0), 43.25°, intensity 40.9
(4 0 -1), 18.54°, intensity 31.6
(0 2 3), 57.88°, intensity 21.0
(6 0 3), 57.72°, intensity 20.1
(1 1 2), 35.98°, intensity 19.4